(1)
Diffraction record for Zn2SiF. The PXRD pattern is theoretical, not measured: it uses the GGA-PBE geometry in Alexandria and Cu Kα.
Peak positions follow from Bragg's law for the DFT cell and can differ from measured ones.

Principal peaks in the range 15° ≤ 2θ ≤ 90°, most intense first:
- 29.03°, I = 1000, (1 1 2)
- 47.60°, I = 380, (2 0 4)
- 58.60°, I = 219, (3 1 2)
- 54.81°, I = 157, (1 1 6)
- 49.71°, I = 156, (2 2 0)
- 34.58°, I = 113, (2 0 0)
- 77.12°, I = 92, (3 1 6)
- 31.69°, I = 79, (0 0 4)

```
data_Zn2SiF
_chemical_formula_sum 'Zn8 Si4 F4'
_cell_length_a 5.188
_cell_length_b 5.188
_cell_length_c 11.295
_cell_angle_alpha 90.00
_cell_angle_beta 90.00
_cell_angle_gamma 90.00
_space_group_name_H-M_alt 'I -4 2 d'
_space_group_IT_number 122
_space_group_name_Hall 'I -4 2bw'
loop_
_atom_site_label
_atom_site_type_symbol
_atom_site_fract_x
_atom_site_fract_y
_atom_site_fract_z
_atom_site_occupancy
Zn1 Zn 0.219 0.250 0.125 1
Si1 Si 0.000 0.000 0.500 1
F1 F 0.000 0.000 0.000 1
```

=====

(2)
Diffraction record for Ba2UCoS5. The PXRD pattern is theoretical, not measured: it uses the GGA-PBE geometry in Alexandria and Cu Kα.
Peak positions follow from Bragg's law for the DFT cell and can differ from measured ones.

Principal peaks in the range 15° ≤ 2θ ≤ 90°, most intense first:
- 30.49°, I = 1000, (1 1 3)
- 22.86°, I = 579, (0 2 3)
- 36.37°, I = 454, (1 5 2)
- 31.18°, I = 327, (0 6 1)
- 26.57°, I = 286, (1 3 0)
- 16.94°, I = 270, (0 2 2)
- 27.45°, I = 256, (1 3 1)
- 44.35°, I = 197, (2 0 0)

```
data_Ba2UCoS5
_chemical_formula_sum 'Ba8 U4 Co4 S20'
_cell_length_a 4.085
_cell_length_b 17.645
_cell_length_c 13.003
_cell_angle_alpha 90.00
_cell_angle_beta 90.00
_cell_angle_gamma 90.00
_space_group_name_H-M_alt 'C m c 21'
_space_group_IT_number 36
_space_group_name_Hall 'C 2c -2'
loop_
_atom_site_label
_atom_site_type_symbol
_atom_site_fract_x
_atom_site_fract_y
_atom_site_fract_z
_atom_site_occupancy
Ba1 Ba 0.000 0.119 0.000 1
Ba2 Ba 0.000 0.120 0.642 1
U1 U 0.000 0.190 0.327 1
Co1 Co 0.000 0.434 0.741 1
S1 S 0.000 0.043 0.322 1
S2 S 0.000 0.305 0.965 1
S3 S 0.000 0.309 0.689 1
S4 S 0.000 0.338 0.321 1
S5 S 0.000 0.495 0.589 1
```

=====

- Number 2 is which compound?
  Ba2UCoS5